[1]
Calculated powder X-ray diffraction pattern
Compound: LiMo2P2O9
Radiation: Cu Kα
Structure: a PBE+U-relaxed structure

Structural model:
```
LiMo2P2O9
1.0
14.5330 0.0000 0.0000
0.0000 6.6675 0.0000
0.0000 0.0000 7.8858
Li Mo P O
4 8 8 36
direct
0.2494 0.2500 0.0336 Li
0.2506 0.7500 0.5336 Li
0.7494 0.2500 0.4664 Li
0.7506 0.7500 0.9664 Li
0.0000 0.0000 0.0000 Mo
0.0000 0.5000 0.0000 Mo
0.1192 0.2500 0.6422 Mo
0.3808 0.7500 0.1422 Mo
0.5000 0.0000 0.5000 Mo
0.5000 0.5000 0.5000 Mo
0.6192 0.2500 0.8578 Mo
0.8808 0.7500 0.3578 Mo
0.0666 0.7500 0.6465 P
0.1916 0.7500 0.1140 P
0.3084 0.2500 0.6140 P
0.4334 0.2500 0.1465 P
0.5666 0.7500 0.8535 P
0.6916 0.7500 0.3860 P
0.8084 0.2500 0.8860 P
0.9334 0.2500 0.3535 P
0.0125 0.2500 0.4817 O
0.0213 0.7500 0.8276 O
0.0531 0.2500 0.8583 O
0.1301 0.5677 0.6269 O
0.1301 0.9323 0.6269 O
0.1340 0.5562 0.1026 O
0.1340 0.9438 0.1026 O
0.2306 0.2500 0.4762 O
0.2475 0.2500 0.7800 O
0.2525 0.7500 0.2800 O
0.2694 0.7500 0.9762 O
0.3660 0.0562 0.6026 O
0.3660 0.4438 0.6026 O
0.3699 0.0677 0.1269 O
0.3699 0.4323 0.1269 O
0.4469 0.7500 0.3583 O
0.4787 0.2500 0.3276 O
0.4875 0.7500 0.9817 O
0.5125 0.2500 0.0183 O
0.5213 0.7500 0.6724 O
0.5531 0.2500 0.6417 O
0.6301 0.5677 0.8731 O
0.6301 0.9323 0.8731 O
0.6340 0.5562 0.3974 O
0.6340 0.9438 0.3974 O
0.7306 0.2500 0.0238 O
0.7475 0.2500 0.7200 O
0.7525 0.7500 0.2200 O
0.7694 0.7500 0.5238 O
0.8660 0.0562 0.8974 O
0.8660 0.4438 0.8974 O
0.8699 0.0677 0.3731 O
0.8699 0.4323 0.3731 O
0.9469 0.7500 0.1417 O
0.9787 0.2500 0.1724 O
0.9875 0.7500 0.5183 O
```

Largest 10 diffraction maxima, most intense first, 10° ≤ 2θ ≤ 90°:
Position (°2θ)  d/Å  Rel. int.
29.7  3.004  100
12.2  7.266  93
16.6  5.344  83
23.4  3.805  77
18.5  4.805  56
21.5  4.128  53
17.4  5.092  48
34.6  2.589  45
32.8  2.727  41
54.5  1.683  38

---

[2]
Calculated powder X-ray diffraction pattern
Compound: LiMoP2O7
Radiation: Cu Kα
Structure: a PBE+U-relaxed structure

Structural model:
```
LiMoP2O7
1.0
6.5617 0.0000 0.0000
0.8906 6.5228 0.0000
2.7188 0.3591 6.4041
Li Mo P O
2 2 4 14
direct
0.1990 0.0108 0.3297 Li
0.8010 0.9892 0.6703 Li
0.4054 0.3488 0.7237 Mo
0.5946 0.6512 0.2763 Mo
0.1501 0.6115 0.1487 P
0.2807 0.8642 0.7360 P
0.7193 0.1358 0.2640 P
0.8499 0.3885 0.8513 P
0.0890 0.4064 0.7037 O
0.1226 0.9527 0.6334 O
0.1314 0.7780 0.9644 O
0.2709 0.4109 0.0468 O
0.2763 0.7092 0.2536 O
0.4274 0.0166 0.7601 O
0.4411 0.6742 0.6232 O
0.5589 0.3258 0.3768 O
0.5726 0.9834 0.2399 O
0.7237 0.2908 0.7464 O
0.7291 0.5891 0.9532 O
0.8686 0.2220 0.0356 O
0.8774 0.0473 0.3666 O
0.9110 0.5936 0.2963 O
```

Largest 10 diffraction maxima, most intense first, 10° ≤ 2θ ≤ 90°:
Position (°2θ)  d/Å  Rel. int.
15.9  5.570  100
27.9  3.200  80
30.1  2.971  54
20.0  4.444  54
27.6  3.236  53
31.5  2.840  49
13.6  6.513  47
14.7  6.009  45
29.0  3.074  39
36.5  2.463  28

---

[3]
Calculated powder X-ray diffraction pattern
Compound: LiMoP2O8
Radiation: Cu Kα
Structure: a PBE+U-relaxed structure

Structural model:
```
LiMoP2O8
1.0
4.9807 0.0000 0.0000
-2.4510 4.4191 0.0000
-0.1392 -0.7602 8.4499
Li Mo P O
1 1 2 8
direct
0.0000 0.0000 0.0000 Li
0.3940 0.2989 0.4392 Mo
0.0612 0.6117 0.2325 P
0.7287 0.9928 0.6442 P
0.0021 0.6472 0.0644 O
0.0195 0.0784 0.5414 O
0.1511 0.3578 0.2516 O
0.3194 0.9118 0.3200 O
0.4742 0.6808 0.5669 O
0.6269 0.2329 0.6120 O
0.7615 0.5191 0.3289 O
0.8074 0.9997 0.8144 O
```

Largest 10 diffraction maxima, most intense first, 10° ≤ 2θ ≤ 90°:
Position (°2θ)  d/Å  Rel. int.
10.5  8.450  100
22.4  3.961  34
23.6  3.768  26
22.8  3.895  21
29.1  3.068  11
28.6  3.122  8
35.6  2.520  7
37.6  2.393  6
36.1  2.489  6
30.6  2.920  5

---

[4]
Calculated powder X-ray diffraction pattern
Compound: Li2Mo2P2O11
Radiation: Cu Kα
Structure: a PBE+U-relaxed structure

Structural model:
```
Li2Mo2P2O11
1.0
4.0012 0.0000 0.0000
-0.0829 6.5392 0.0000
-1.8446 -0.3951 8.4995
Li Mo P O
2 2 2 11
direct
0.0000 0.0000 0.0000 Li
0.4587 0.6228 0.0726 Li
0.6466 0.1167 0.2526 Mo
0.8172 0.6295 0.7694 Mo
0.6842 0.1301 0.6671 P
0.8117 0.6201 0.3670 P
0.1230 0.1163 0.2592 O
0.1822 0.6211 0.3735 O
0.3494 0.6270 0.7696 O
0.5153 0.0807 0.0451 O
0.6324 0.4269 0.2617 O
0.6376 0.8056 0.2725 O
0.7486 0.1322 0.5005 O
0.7521 0.6188 0.5399 O
0.8351 0.3198 0.7734 O
0.8478 0.9486 0.7627 O
0.9602 0.6748 0.9807 O
```

Largest 10 diffraction maxima, most intense first, 10° ≤ 2θ ≤ 90°:
Position (°2θ)  d/Å  Rel. int.
22.7  3.909  100
20.9  4.250  96
27.3  3.266  87
16.7  5.300  68
27.5  3.241  41
17.5  5.067  40
22.9  3.879  28
33.9  2.646  26
35.4  2.534  22
45.3  2.000  22

---

[5]
Calculated powder X-ray diffraction pattern
Compound: LiMoP4O12
Radiation: Cu Kα
Structure: a PBE+U-relaxed structure

Structural model:
```
LiMoP4O12
1.0
7.8917 -3.7267 0.0000
7.8917 3.7267 0.0000
-5.3648 0.0000 8.2575
Li Mo P O
2 2 8 24
direct
0.1920 0.8080 0.7500 Li
0.8080 0.1920 0.2500 Li
0.3638 0.6362 0.2500 Mo
0.6362 0.3638 0.7500 Mo
0.0562 0.2076 0.6344 P
0.1879 0.5299 0.8304 P
0.2076 0.0562 0.1344 P
0.4701 0.8121 0.6696 P
0.5299 0.1879 0.3304 P
0.7924 0.9438 0.8656 P
0.8121 0.4701 0.1696 P
0.9438 0.7924 0.3656 P
0.0019 0.1465 0.4553 O
0.0212 0.2637 0.2114 O
0.0966 0.6983 0.2773 O
0.1385 0.3585 0.6953 O
0.1465 0.0019 0.9553 O
0.2429 0.5188 0.9968 O
0.2637 0.0212 0.7114 O
0.3017 0.9034 0.2227 O
0.3390 0.5200 0.7878 O
0.3585 0.1385 0.1953 O
0.4800 0.6610 0.7122 O
0.4812 0.7571 0.5032 O
0.5188 0.2429 0.4968 O
0.5200 0.3390 0.2878 O
0.6415 0.8615 0.8047 O
0.6610 0.4800 0.2122 O
0.6983 0.0966 0.7773 O
0.7363 0.9788 0.2886 O
0.7571 0.4812 0.0032 O
0.8535 0.9981 0.0447 O
0.8615 0.6415 0.3047 O
0.9034 0.3017 0.7227 O
0.9788 0.7363 0.7886 O
0.9981 0.8535 0.5447 O
```

Largest 10 diffraction maxima, most intense first, 10° ≤ 2θ ≤ 90°:
Position (°2θ)  d/Å  Rel. int.
26.7  3.341  100
21.5  4.129  66
20.7  4.298  47
13.4  6.618  45
22.2  4.002  37
33.3  2.691  28
31.2  2.870  27
23.4  3.797  23
14.9  5.933  23
34.1  2.630  23